For Mg2BeAl2Pd5, a GGA-PBE-relaxed structure gives the theoretical X-ray diffraction stick pattern in this record (Cu Kα).
Neutral-atom scattering factors, no anomalous dispersion.

Peak list (10 most intense, 2θ from 10° to 90°, in order of falling intensity)
| Position (°2θ) | d/Å | I (rel.) |
| --- | --- | --- |
| 37.3 | 2.411 | 1000 |
| 41.5 | 2.175 | 946 |
| 30.4 | 2.938 | 603 |
| 47.1 | 1.929 | 529 |
| 27.6 | 3.234 | 473 |
| 48.9 | 1.864 | 399 |
| 24.6 | 3.616 | 355 |
| 17.3 | 5.113 | 350 |
| 36.2 | 2.480 | 326 |
| 39.5 | 2.280 | 308 |

Structure:
```
Mg2BeAl2Pd5
1.0
10.227 0.000 0.000
0.000 10.227 0.000
0.000 0.000 2.938
Mg Be Al Pd
4 2 4 10
direct
0.166 0.334 0.000
0.334 0.834 0.000
0.666 0.166 0.000
0.834 0.666 0.000
0.000 0.000 0.000
0.500 0.500 0.000
0.141 0.641 0.000
0.359 0.141 0.000
0.641 0.859 0.000
0.859 0.359 0.000
0.000 0.500 0.500
0.030 0.806 0.500
0.194 0.030 0.500
0.306 0.530 0.500
0.470 0.306 0.500
0.500 0.000 0.500
0.530 0.694 0.500
0.694 0.470 0.500
0.806 0.970 0.500
0.970 0.194 0.500
```

For Mg2Be2AlPt5, a GGA-PBE-relaxed structure gives the theoretical X-ray diffraction stick pattern in this record (Cu Kα).
Neutral-atom scattering factors, no anomalous dispersion.

Peak list (10 most intense, 2θ from 10° to 90°, in order of falling intensity)
| Position (°2θ) | d/Å | I (rel.) |
| --- | --- | --- |
| 26.9 | 3.317 | 1000 |
| 41.0 | 2.199 | 797 |
| 40.0 | 2.253 | 569 |
| 30.4 | 2.938 | 513 |
| 44.5 | 2.035 | 486 |
| 48.9 | 1.864 | 463 |
| 34.8 | 2.577 | 414 |
| 78.3 | 1.222 | 349 |
| 34.6 | 2.592 | 309 |
| 21.4 | 4.155 | 294 |

Structure:
```
Mg2Be2AlPt5
1.0
9.290 0.000 0.000
0.000 9.290 0.000
0.000 0.000 3.317
Mg Be Al Pt
4 4 2 10
direct
0.174 0.326 0.000
0.326 0.826 0.000
0.674 0.174 0.000
0.826 0.674 0.000
0.125 0.625 0.000
0.375 0.125 0.000
0.625 0.875 0.000
0.875 0.375 0.000
0.000 0.000 0.000
0.500 0.500 0.000
0.000 0.500 0.500
0.073 0.793 0.500
0.207 0.073 0.500
0.293 0.573 0.500
0.427 0.293 0.500
0.500 0.000 0.500
0.573 0.707 0.500
0.707 0.427 0.500
0.793 0.927 0.500
0.927 0.207 0.500
```

For MgBeAlW2, a GGA-PBE-relaxed structure gives the theoretical X-ray diffraction stick pattern in this record (Cu Kα).
Neutral-atom scattering factors, no anomalous dispersion.

Peak list (10 most intense, 2θ from 10° to 90°, in order of falling intensity)
| Position (°2θ) | d/Å | I (rel.) |
| --- | --- | --- |
| 34.0 | 2.638 | 1000 |
| 19.7 | 4.496 | 874 |
| 27.4 | 3.258 | 580 |
| 44.2 | 2.050 | 450 |
| 39.1 | 2.304 | 443 |
| 57.3 | 1.609 | 293 |
| 67.6 | 1.386 | 279 |
| 49.2 | 1.850 | 243 |
| 40.1 | 2.248 | 206 |
| 60.4 | 1.532 | 179 |

Structure:
```
MgBeAlW2
1.0
4.607 0.000 0.000
0.000 4.607 0.000
0.000 0.000 4.496
Mg Be Al W
1 1 1 2
direct
0.000 0.000 0.000
0.500 0.500 0.500
0.000 0.000 0.500
0.000 0.500 0.000
0.500 0.000 0.000
```

For Mn2BeAl, a GGA-PBE-relaxed structure gives the theoretical X-ray diffraction stick pattern in this record (Cu Kα).
Neutral-atom scattering factors, no anomalous dispersion.

Peak list (10 most intense, 2θ from 10° to 90°, in order of falling intensity)
| Position (°2θ) | d/Å | I (rel.) |
| --- | --- | --- |
| 43.5 | 2.079 | 1000 |
| 48.7 | 1.871 | 352 |
| 33.9 | 2.646 | 311 |
| 26.5 | 3.361 | 298 |
| 87.4 | 1.116 | 234 |
| 76.1 | 1.250 | 169 |
| 56.3 | 1.635 | 126 |
| 54.6 | 1.681 | 122 |
| 71.3 | 1.323 | 103 |
| 65.8 | 1.419 | 73 |

Structure:
```
Mn2BeAl
1.0
3.742 0.000 0.000
0.000 3.742 0.000
0.000 0.000 3.361
Mn Be Al
2 1 1
direct
0.000 0.500 0.000
0.500 0.000 0.000
0.000 0.000 0.500
0.500 0.500 0.500
```

For BeAlN2, a GGA-PBE-relaxed structure gives the theoretical X-ray diffraction stick pattern in this record (Cu Kα).
Neutral-atom scattering factors, no anomalous dispersion.

Peak list (10 most intense, 2θ from 10° to 90°, in order of falling intensity)
| Position (°2θ) | d/Å | I (rel.) |
| --- | --- | --- |
| 37.3 | 2.413 | 1000 |
| 61.6 | 1.505 | 303 |
| 24.2 | 3.685 | 224 |
| 77.8 | 1.228 | 157 |
| 65.4 | 1.427 | 121 |
| 51.7 | 1.770 | 111 |
| 70.7 | 1.333 | 104 |
| 59.7 | 1.548 | 44 |
| 55.7 | 1.651 | 42 |
| 86.0 | 1.131 | 28 |

Structure:
```
BeAlN2
1.0
4.035 0.000 0.000
0.000 4.035 0.000
0.000 0.000 9.044
Be Al N
4 4 8
direct
0.000 0.000 0.000
0.000 0.500 0.250
0.500 0.000 0.750
0.500 0.500 0.500
0.000 0.000 0.500
0.000 0.500 0.750
0.500 0.000 0.250
0.500 0.500 0.000
0.223 0.250 0.125
0.250 0.723 0.375
0.250 0.777 0.875
0.277 0.250 0.625
0.723 0.750 0.625
0.750 0.223 0.875
0.750 0.277 0.375
0.777 0.750 0.125
```

For Be8AlN6, a GGA-PBE-relaxed structure gives the theoretical X-ray diffraction stick pattern in this record (Cu Kα).
Neutral-atom scattering factors, no anomalous dispersion.

Peak list (10 most intense, 2θ from 10° to 90°, in order of falling intensity)
| Position (°2θ) | d/Å | I (rel.) |
| --- | --- | --- |
| 36.3 | 2.477 | 1000 |
| 62.8 | 1.479 | 661 |
| 37.1 | 2.425 | 531 |
| 35.0 | 2.562 | 448 |
| 27.2 | 3.274 | 407 |
| 51.9 | 1.761 | 341 |
| 44.9 | 2.018 | 277 |
| 42.5 | 2.128 | 262 |
| 75.3 | 1.263 | 252 |
| 20.0 | 4.438 | 235 |

Structure:
```
Be8AlN6
1.0
5.124 0.000 0.000
-2.562 4.438 0.000
0.000 0.000 9.698
Be Al N
16 2 12
direct
0.000 0.308 0.000
0.000 0.403 0.343
0.000 0.597 0.843
0.000 0.692 0.500
0.308 0.000 0.000
0.308 0.308 0.500
0.333 0.667 0.143
0.333 0.667 0.643
0.403 0.000 0.343
0.403 0.403 0.843
0.597 0.000 0.843
0.597 0.597 0.343
0.667 0.333 0.143
0.667 0.333 0.643
0.692 0.000 0.500
0.692 0.692 0.000
0.000 0.000 0.218
0.000 0.000 0.718
0.000 0.000 0.422
0.000 0.000 0.922
0.000 0.351 0.173
0.000 0.649 0.673
0.333 0.667 0.432
0.333 0.667 0.932
0.351 0.000 0.173
0.351 0.351 0.673
0.649 0.000 0.673
0.649 0.649 0.173
0.667 0.333 0.432
0.667 0.333 0.932
```

For Be2AlN, a GGA-PBE-relaxed structure gives the theoretical X-ray diffraction stick pattern in this record (Cu Kα).
Neutral-atom scattering factors, no anomalous dispersion.

Peak list (10 most intense, 2θ from 10° to 90°, in order of falling intensity)
| Position (°2θ) | d/Å | I (rel.) |
| --- | --- | --- |
| 35.5 | 2.527 | 1000 |
| 63.7 | 1.460 | 207 |
| 41.9 | 2.156 | 192 |
| 63.8 | 1.458 | 125 |
| 85.9 | 1.131 | 106 |
| 51.0 | 1.789 | 87 |
| 75.2 | 1.263 | 75 |
| 86.2 | 1.129 | 43 |
| 56.1 | 1.641 | 34 |
| 75.1 | 1.265 | 33 |

Structure:
```
Be2AlN
1.0
5.060 0.000 0.000
0.000 5.060 0.000
0.000 0.000 7.135
Be Al N
8 4 4
direct
0.097 0.250 0.125
0.250 0.597 0.375
0.250 0.903 0.875
0.403 0.250 0.625
0.597 0.750 0.625
0.750 0.097 0.875
0.750 0.403 0.375
0.903 0.750 0.125
0.000 0.000 0.500
0.000 0.500 0.750
0.500 0.000 0.250
0.500 0.500 0.000
0.000 0.000 0.000
0.000 0.500 0.250
0.500 0.000 0.750
0.500 0.500 0.500
```

For BeAlSe2N, a GGA-PBE-relaxed structure gives the theoretical X-ray diffraction stick pattern in this record (Cu Kα).
Neutral-atom scattering factors, no anomalous dispersion.

Peak list (10 most intense, 2θ from 10° to 90°, in order of falling intensity)
| Position (°2θ) | d/Å | I (rel.) |
| --- | --- | --- |
| 38.5 | 2.338 | 1000 |
| 36.0 | 2.494 | 684 |
| 25.3 | 3.526 | 502 |
| 66.4 | 1.408 | 380 |
| 46.6 | 1.948 | 244 |
| 28.6 | 3.122 | 232 |
| 51.9 | 1.763 | 230 |
| 71.3 | 1.323 | 174 |
| 82.5 | 1.169 | 117 |
| 60.3 | 1.535 | 115 |

Structure:
```
BeAlSe2N
1.0
4.987 0.000 0.000
0.000 4.987 0.000
0.000 0.000 3.122
Be Al Se N
1 1 2 1
direct
0.000 0.000 0.000
0.500 0.500 0.500
0.000 0.500 0.000
0.500 0.000 0.000
0.000 0.000 0.500
```

For Na3BeAlSi2O8, a GGA-PBE-relaxed structure gives the theoretical X-ray diffraction stick pattern in this record (Cu Kα).
Neutral-atom scattering factors, no anomalous dispersion.

Peak list (10 most intense, 2θ from 10° to 90°, in order of falling intensity)
| Position (°2θ) | d/Å | I (rel.) |
| --- | --- | --- |
| 21.4 | 4.147 | 1000 |
| 34.7 | 2.589 | 971 |
| 31.1 | 2.878 | 615 |
| 27.4 | 3.258 | 353 |
| 28.5 | 3.135 | 339 |
| 52.1 | 1.756 | 304 |
| 35.5 | 2.526 | 246 |
| 35.8 | 2.506 | 231 |
| 47.5 | 1.916 | 227 |
| 59.9 | 1.545 | 158 |

Structure:
```
Na3BeAlSi2O8
1.0
6.926 0.000 0.000
0.000 7.262 0.000
0.000 0.000 7.383
Na Be Al Si O
6 2 2 4 16
direct
0.000 0.000 0.034
0.248 0.213 0.676
0.252 0.713 0.324
0.500 0.500 0.966
0.748 0.287 0.324
0.752 0.787 0.676
0.000 0.000 0.434
0.500 0.500 0.566
0.000 0.500 0.967
0.500 0.000 0.033
0.235 0.800 0.740
0.265 0.300 0.260
0.735 0.700 0.260
0.765 0.200 0.740
0.045 0.696 0.831
0.084 0.162 0.295
0.171 0.912 0.559
0.203 0.458 0.106
0.297 0.958 0.894
0.329 0.412 0.441
0.416 0.662 0.705
0.455 0.196 0.169
0.545 0.804 0.169
0.584 0.338 0.705
0.671 0.588 0.441
0.703 0.042 0.894
0.797 0.542 0.106
0.829 0.088 0.559
0.916 0.838 0.295
0.955 0.304 0.831
```

For NaBe2AlS4, a GGA-PBE-relaxed structure gives the theoretical X-ray diffraction stick pattern in this record (Cu Kα).
Neutral-atom scattering factors, no anomalous dispersion.

Peak list (10 most intense, 2θ from 10° to 90°, in order of falling intensity)
| Position (°2θ) | d/Å | I (rel.) |
| --- | --- | --- |
| 29.3 | 3.051 | 1000 |
| 48.9 | 1.863 | 318 |
| 57.6 | 1.600 | 212 |
| 48.5 | 1.879 | 183 |
| 38.0 | 2.368 | 117 |
| 58.4 | 1.580 | 96 |
| 42.1 | 2.145 | 88 |
| 23.7 | 3.757 | 72 |
| 33.7 | 2.657 | 65 |
| 79.2 | 1.209 | 56 |

Structure:
```
NaBe2AlS4
1.0
5.313 0.000 0.000
0.000 5.313 0.000
0.000 0.000 10.452
Na Be Al S
2 4 2 8
direct
0.000 0.000 0.000
0.500 0.500 0.500
0.000 0.500 0.250
0.000 0.500 0.750
0.500 0.000 0.250
0.500 0.000 0.750
0.000 0.000 0.500
0.500 0.500 0.000
0.226 0.226 0.645
0.226 0.774 0.355
0.274 0.274 0.145
0.274 0.726 0.855
0.726 0.274 0.855
0.726 0.726 0.145
0.774 0.226 0.355
0.774 0.774 0.645
```

For Be9NbAl2, a GGA-PBE-relaxed structure gives the theoretical X-ray diffraction stick pattern in this record (Cu Kα).
Neutral-atom scattering factors, no anomalous dispersion.

Peak list (10 most intense, 2θ from 10° to 90°, in order of falling intensity)
| Position (°2θ) | d/Å | I (rel.) |
| --- | --- | --- |
| 23.5 | 3.791 | 1000 |
| 48.6 | 1.873 | 555 |
| 38.3 | 2.352 | 543 |
| 24.6 | 3.615 | 505 |
| 40.5 | 2.226 | 505 |
| 12.8 | 6.927 | 396 |
| 41.9 | 2.154 | 390 |
| 47.4 | 1.919 | 294 |
| 25.7 | 3.463 | 252 |
| 31.7 | 2.827 | 229 |

Structure:
```
Be9NbAl2
1.0
2.226 1.285 6.927
-2.226 1.285 6.927
0.000 -2.570 6.927
Be Nb Al
9 1 2
direct
0.000 0.000 0.000
0.079 0.079 0.584
0.079 0.584 0.079
0.168 0.168 0.168
0.416 0.921 0.921
0.584 0.079 0.079
0.832 0.832 0.832
0.921 0.416 0.921
0.921 0.921 0.416
0.500 0.500 0.500
0.361 0.361 0.361
0.639 0.639 0.639
```

For Be2Nb2Al, a GGA-PBE-relaxed structure gives the theoretical X-ray diffraction stick pattern in this record (Cu Kα).
Neutral-atom scattering factors, no anomalous dispersion.

Peak list (10 most intense, 2θ from 10° to 90°, in order of falling intensity)
| Position (°2θ) | d/Å | I (rel.) |
| --- | --- | --- |
| 38.0 | 2.368 | 1000 |
| 35.0 | 2.562 | 819 |
| 40.5 | 2.228 | 792 |
| 25.9 | 3.441 | 654 |
| 44.1 | 2.055 | 546 |
| 27.3 | 3.264 | 447 |
| 30.6 | 2.923 | 433 |
| 69.6 | 1.351 | 307 |
| 68.2 | 1.374 | 280 |
| 65.3 | 1.428 | 255 |

Structure:
```
Be2Nb2Al
1.0
3.399 0.000 0.000
0.000 11.694 0.000
0.000 0.000 3.441
Be Nb Al
4 4 2
direct
0.000 0.202 0.000
0.000 0.798 0.000
0.500 0.298 0.000
0.500 0.702 0.000
0.000 0.364 0.500
0.000 0.636 0.500
0.500 0.136 0.500
0.500 0.864 0.500
0.000 0.000 0.000
0.500 0.500 0.000
```